Structure and simulated powder XRD pattern of SrCrRh2Au (a DFT-relaxed cell (GGA-PBE, Alexandria); Cu Kα, 1.54184 Å).

Structural model:
Cell: 4.4811 4.4811 5.7248 Å, 90.00 90.00 90.00°
Fractional positions:
Sr 0.0000 0.0000 0.0000
Cr 0.0000 0.0000 0.5000
Rh 0.0000 0.5000 0.5000
Rh 0.5000 0.0000 0.5000
Au 0.5000 0.5000 0.0000

Most intense lines, 2θ = 10–80°, in order of rising 2θ:
d_spacing  2theta  I/Imax  h k l
3.529  25.2  25  1 0 1
2.862  31.2  42  0 0 2
2.772  32.3  100  1 1 1
2.241  40.3  42  2 0 0
1.764  51.8  40  2 0 2
1.635  56.3  21  1 1 3
1.584  58.2  14  2 2 0
1.386  67.6  18  2 2 2
1.376  68.2  24  3 1 1
1.206  79.5  11  2 0 4